Diffraction record for HgHC3NCl3. The PXRD pattern is computed, not measured: it uses a structure optimized by DFT (GGA-PBE) and copper Kα.
Neutral-atom scattering factors, no anomalous dispersion.

Structure:
abc: 10.927 10.927 14.064
angles: 128.60 128.60 49.42
Fractional coordinates of all 36 atoms:
Hg (0.000, 0.500, 0.500)
Hg (0.182, 0.818, 0.750)
Hg (0.500, 0.000, 0.000)
Hg (0.818, 0.182, 0.250)
H (0.021, 0.731, 0.189)
H (0.269, 0.979, 0.311)
H (0.731, 0.021, 0.689)
H (0.979, 0.269, 0.811)
C (0.031, 0.666, 0.311)
C (0.187, 0.517, 0.328)
C (0.237, 0.614, 0.335)
C (0.334, 0.969, 0.189)
C (0.386, 0.763, 0.165)
C (0.483, 0.813, 0.172)
C (0.517, 0.187, 0.828)
C (0.614, 0.237, 0.835)
C (0.666, 0.031, 0.811)
C (0.763, 0.386, 0.665)
C (0.813, 0.483, 0.672)
C (0.969, 0.334, 0.689)
N (0.072, 0.735, 0.281)
N (0.265, 0.928, 0.219)
N (0.735, 0.072, 0.781)
N (0.928, 0.265, 0.719)
Cl (0.107, 0.188, 0.460)
Cl (0.188, 0.107, 0.960)
Cl (0.190, 0.591, 0.758)
Cl (0.285, 0.393, 0.411)
Cl (0.393, 0.285, 0.911)
Cl (0.409, 0.810, 0.742)
Cl (0.591, 0.190, 0.258)
Cl (0.607, 0.715, 0.089)
Cl (0.715, 0.607, 0.589)
Cl (0.810, 0.409, 0.242)
Cl (0.812, 0.893, 0.040)
Cl (0.893, 0.812, 0.540)

Peak list (10 most intense, 2θ from 10° to 90°, in order of rising 2θ)
two_theta, Rel. int.
11.5, 100
12.6, 28
19.4, 9
21.3, 23
23.2, 10
27.1, 11
27.5, 20
28.1, 12
33.3, 12
35.1, 8